Diffraction record for PaSi2Ni10. The X-ray diffraction stick pattern is theoretical, not measured: it uses a crystal structure in Alexandria, relaxed with GGA-PBE and Cu Kα, 1.54184 Å.

Cell lengths 8.077, 6.285, 6.120 Å; angles 81.23, 50.27, 48.50 degrees
Positions (direct):
1 Pa 0.000 0.000 0.000
2 Si 0.000 0.500 0.000
3 Si 0.500 0.000 0.500
4 Ni 0.000 0.000 0.500
5 Ni 0.004 0.345 0.655
6 Ni 0.275 0.496 0.504
7 Ni 0.345 0.004 0.996
8 Ni 0.496 0.275 0.725
9 Ni 0.500 0.500 0.000
10 Ni 0.504 0.725 0.275
11 Ni 0.655 0.996 0.004
12 Ni 0.725 0.504 0.496
13 Ni 0.996 0.655 0.345

The 6 most intense peaks (2θ from 10° to 90°), in order of rising 2θ:
| d (Å) | 2θ/deg | Rel. int. |
| --- | --- | --- |
| 2.422 | 37.13 | 49 |
| 2.352 | 38.26 | 99 |
| 2.077 | 43.58 | 100 |
| 2.057 | 44.02 | 94 |
| 2.018 | 44.91 | 84 |
| 2.009 | 45.14 | 84 |